Entry 1:
For AcCd2GaPd, a PBE-relaxed structure gives the theoretical XRD peak list in this record (Cu Kα X-rays).

Top 8 peaks for 2θ = 10–90°, low angle first:
two_theta	I (rel.)
29.05	52
29.38	35
32.28	100
40.49	40
40.75	21
41.06	26
42.14	24
59.86	17

Cell and atoms:
```
data_AcCd2GaPd
_chemical_formula_sum 'Ac1 Cd2 Ga1 Pd1'
_cell_length_a 7.156
_cell_length_b 7.156
_cell_length_c 7.156
_cell_angle_alpha 145.13
_cell_angle_beta 144.22
_cell_angle_gamma 50.82
_space_group_name_H-M_alt 'P 1'
_space_group_IT_number 1
_space_group_name_Hall 'P 1'
loop_
_atom_site_label
_atom_site_type_symbol
_atom_site_fract_x
_atom_site_fract_y
_atom_site_fract_z
Ac1 Ac 0.000 0.000 0.000
Cd1 Cd 0.373 0.373 0.000
Cd2 Cd 0.731 0.231 0.500
Ga1 Ga 0.213 0.713 0.500
Pd1 Pd 0.588 0.588 0.000
```

***

Entry 2:
For Ac2PrNdHo, a PBE-relaxed structure gives the theoretical XRD peak list in this record (Cu Kα X-rays).

Top 8 peaks for 2θ = 10–90°, low angle first:
two_theta	I (rel.)
27.37	25
27.61	100
27.80	27
30.34	27
32.97	22
35.87	27
38.01	22
48.52	22

Cell and atoms:
```
data_Ac2PrNdHo
_chemical_formula_sum 'Ac4 Pr2 Nd2 Ho2'
_cell_length_a 6.518
_cell_length_b 8.841
_cell_length_c 6.889
_cell_angle_alpha 90.00
_cell_angle_beta 90.00
_cell_angle_gamma 90.00
_space_group_name_H-M_alt 'P 1'
_space_group_IT_number 1
_space_group_name_Hall 'P 1'
loop_
_atom_site_label
_atom_site_type_symbol
_atom_site_fract_x
_atom_site_fract_y
_atom_site_fract_z
Ac1 Ac 0.250 0.207 0.210
Ac2 Ac 0.250 0.793 0.210
Ac3 Ac 0.750 0.207 0.790
Ac4 Ac 0.750 0.793 0.790
Pr1 Pr 0.250 0.500 0.913
Pr2 Pr 0.750 0.500 0.087
Nd1 Nd 0.250 0.000 0.682
Nd2 Nd 0.750 0.000 0.318
Ho1 Ho 0.000 0.500 0.500
Ho2 Ho 0.500 0.500 0.500
```

***

Entry 3:
For Tb2Dy4Y5, a PBE-relaxed structure gives the theoretical XRD peak list in this record (Cu Kα X-rays).

Top 8 peaks for 2θ = 10–90°, low angle first:
two_theta	I (rel.)
10.56	19
30.00	23
31.46	55
31.75	100
32.07	30
32.22	26
32.59	51
37.22	20

Cell and atoms:
```
data_Tb2Dy4Y5
_chemical_formula_sum 'Tb2 Dy4 Y5'
_cell_length_a 3.545
_cell_length_b 8.573
_cell_length_c 12.038
_cell_angle_alpha 90.79
_cell_angle_beta 98.43
_cell_angle_gamma 101.91
_space_group_name_H-M_alt 'P 1'
_space_group_IT_number 1
_space_group_name_Hall 'P 1'
loop_
_atom_site_label
_atom_site_type_symbol
_atom_site_fract_x
_atom_site_fract_y
_atom_site_fract_z
Tb1 Tb 0.051 0.287 0.315
Tb2 Tb 0.949 0.713 0.685
Dy1 Dy 0.289 0.648 0.432
Dy2 Dy 0.390 0.436 0.844
Dy3 Dy 0.610 0.564 0.156
Dy4 Dy 0.711 0.352 0.568
Y1 Y 0.000 0.000 0.500
Y2 Y 0.133 0.809 0.958
Y3 Y 0.338 0.941 0.234
Y4 Y 0.662 0.059 0.766
Y5 Y 0.867 0.191 0.042
```

***

Entry 4:
For TaAsS3, a PBE-relaxed structure gives the theoretical XRD peak list in this record (Cu Kα X-rays).

Top 8 peaks for 2θ = 10–90°, low angle first:
two_theta	I (rel.)
18.51	43
26.29	100
37.52	50
42.15	21
46.40	45
54.11	34
61.13	20
73.98	23

Cell and atoms:
```
data_TaAsS3
_chemical_formula_sum 'Ta1 As1 S3'
_cell_length_a 4.794
_cell_length_b 4.794
_cell_length_c 4.794
_cell_angle_alpha 90.00
_cell_angle_beta 90.00
_cell_angle_gamma 90.00
_space_group_name_H-M_alt 'P 1'
_space_group_IT_number 1
_space_group_name_Hall 'P 1'
loop_
_atom_site_label
_atom_site_type_symbol
_atom_site_fract_x
_atom_site_fract_y
_atom_site_fract_z
Ta1 Ta 0.000 0.000 0.000
As1 As 0.500 0.500 0.500
S1 S 0.000 0.000 0.500
S2 S 0.000 0.500 0.000
S3 S 0.500 0.000 0.000
```

***

Entry 5:
For SmTlGe2I8, a PBE-relaxed structure gives the theoretical XRD peak list in this record (Cu Kα X-rays).

Top 8 peaks for 2θ = 10–90°, low angle first:
two_theta	I (rel.)
16.46	64
17.22	50
25.36	87
25.58	90
25.76	100
31.66	49
37.77	64
38.81	51

Cell and atoms:
```
data_SmTlGe2I8
_chemical_formula_sum 'Sm1 Tl1 Ge2 I8'
_cell_length_a 7.238
_cell_length_b 7.713
_cell_length_c 9.560
_cell_angle_alpha 86.14
_cell_angle_beta 87.01
_cell_angle_gamma 87.24
_space_group_name_H-M_alt 'P 1'
_space_group_IT_number 1
_space_group_name_Hall 'P 1'
loop_
_atom_site_label
_atom_site_type_symbol
_atom_site_fract_x
_atom_site_fract_y
_atom_site_fract_z
Sm1 Sm 0.000 0.000 0.000
Tl1 Tl 0.000 0.000 0.500
Ge1 Ge 0.464 0.472 0.743
Ge2 Ge 0.536 0.528 0.257
I1 I 0.244 0.328 0.979
I2 I 0.252 0.828 0.773
I3 I 0.258 0.837 0.227
I4 I 0.275 0.361 0.529
I5 I 0.725 0.639 0.471
I6 I 0.742 0.163 0.773
I7 I 0.748 0.172 0.227
I8 I 0.756 0.672 0.021
```

***

Entry 6:
For PuZn2Pd5, a PBE-relaxed structure gives the theoretical XRD peak list in this record (Cu Kα X-rays).

Top 8 peaks for 2θ = 10–90°, low angle first:
two_theta	I (rel.)
27.14	19
36.40	20
38.55	100
39.41	51
39.61	91
44.02	33
60.55	26
77.30	36

Cell and atoms:
```
data_PuZn2Pd5
_chemical_formula_sum 'Pu1 Zn2 Pd5'
_cell_length_a 6.993
_cell_length_b 6.993
_cell_length_c 6.993
_cell_angle_alpha 155.75
_cell_angle_beta 107.93
_cell_angle_gamma 77.31
_space_group_name_H-M_alt 'P 1'
_space_group_IT_number 1
_space_group_name_Hall 'P 1'
loop_
_atom_site_label
_atom_site_type_symbol
_atom_site_fract_x
_atom_site_fract_y
_atom_site_fract_z
Pu1 Pu 0.000 0.000 0.000
Zn1 Zn 0.263 0.763 0.500
Zn2 Zn 0.737 0.237 0.500
Pd1 Pd 0.132 0.366 0.766
Pd2 Pd 0.400 0.634 0.766
Pd3 Pd 0.500 0.000 0.500
Pd4 Pd 0.600 0.366 0.234
Pd5 Pd 0.868 0.634 0.234
```

***

Entry 7:
For TbPm14Zr, a PBE-relaxed structure gives the theoretical XRD peak list in this record (Cu Kα X-rays).

Top 8 peaks for 2θ = 10–90°, low angle first:
two_theta	I (rel.)
30.30	100
35.12	51
50.52	36
60.05	42
63.02	12
82.24	17
84.81	11
84.95	5

Cell and atoms:
```
data_TbPm14Zr
_chemical_formula_sum 'Tb1 Pm14 Zr1'
_cell_length_a 7.231
_cell_length_b 7.231
_cell_length_c 10.207
_cell_angle_alpha 90.00
_cell_angle_beta 90.00
_cell_angle_gamma 90.00
_space_group_name_H-M_alt 'P 1'
_space_group_IT_number 1
_space_group_name_Hall 'P 1'
loop_
_atom_site_label
_atom_site_type_symbol
_atom_site_fract_x
_atom_site_fract_y
_atom_site_fract_z
Tb1 Tb 0.000 0.000 0.000
Pm1 Pm 0.000 0.000 0.500
Pm2 Pm 0.000 0.500 0.000
Pm3 Pm 0.000 0.500 0.500
Pm4 Pm 0.255 0.255 0.243
Pm5 Pm 0.255 0.255 0.757
Pm6 Pm 0.255 0.745 0.243
Pm7 Pm 0.255 0.745 0.757
Pm8 Pm 0.500 0.000 0.000
Pm9 Pm 0.500 0.000 0.500
Pm10 Pm 0.500 0.500 0.500
Pm11 Pm 0.745 0.255 0.243
Pm12 Pm 0.745 0.255 0.757
Pm13 Pm 0.745 0.745 0.243
Pm14 Pm 0.745 0.745 0.757
Zr1 Zr 0.500 0.500 0.000
```

***

Entry 8:
For BaPa2BiO8, a PBE-relaxed structure gives the theoretical XRD peak list in this record (Cu Kα X-rays).

Top 8 peaks for 2θ = 10–90°, low angle first:
two_theta	I (rel.)
23.11	56
23.91	49
29.63	100
33.50	31
44.87	42
45.77	35
57.52	22
61.52	13

Cell and atoms:
```
data_BaPa2BiO8
_chemical_formula_sum 'Ba1 Pa2 Bi1 O8'
_cell_length_a 5.353
_cell_length_b 5.353
_cell_length_c 7.299
_cell_angle_alpha 90.00
_cell_angle_beta 90.00
_cell_angle_gamma 91.92
_space_group_name_H-M_alt 'P 1'
_space_group_IT_number 1
_space_group_name_Hall 'P 1'
loop_
_atom_site_label
_atom_site_type_symbol
_atom_site_fract_x
_atom_site_fract_y
_atom_site_fract_z
Ba1 Ba 0.000 0.000 0.000
Pa1 Pa 0.500 0.500 0.253
Pa2 Pa 0.500 0.500 0.747
Bi1 Bi 0.000 0.000 0.500
O1 O 0.218 0.218 0.283
O2 O 0.218 0.218 0.717
O3 O 0.318 0.682 0.500
O4 O 0.338 0.662 0.000
O5 O 0.662 0.338 0.000
O6 O 0.682 0.318 0.500
O7 O 0.782 0.782 0.283
O8 O 0.782 0.782 0.717
```